No. 1
# ZrMn5
Computed powder diffraction line list, λ = 1.5418 Å (Cu Kα). Input: a DFT-relaxed cell (GGA-PBE, Alexandria).
Lines closer than 0.1° are merged.

Top 10 peaks for 10° ≤ 2θ ≤ 90°, sorted by position:
2θ (°), d_spacing, I (rel.)
34.53, 2.597, 9
40.43, 2.231, 11
41.50, 2.176, 100
42.06, 2.148, 35
45.27, 2.003, 62
54.43, 1.686, 8
65.44, 1.426, 11
66.45, 1.407, 9
80.91, 1.188, 9
81.77, 1.178, 9

Structure:
```
data_ZrMn5
_chemical_formula_sum 'Zr2 Mn10'
_cell_length_a 9.1273
_cell_length_b 2.8521
_cell_length_c 6.7427
_cell_angle_alpha 90.00
_cell_angle_beta 112.34
_cell_angle_gamma 90.00
_symmetry_space_group_name_H-M 'C 1 m 1'
_symmetry_Int_Tables_number 8
loop_
_symmetry_equiv_pos_as_xyz
'x,y,z'
'x,-y,z'
'x+1/2,y+1/2,z'
'x+1/2,-y+1/2,z'
loop_
_atom_site_label
_atom_site_type_symbol
_atom_site_fract_x
_atom_site_fract_y
_atom_site_fract_z
_atom_site_occupancy
Zr1 Zr 0.0000 0.0000 0.0000 1
Mn1 Mn 0.1581 0.5000 0.3780 1
Mn2 Mn 0.1786 0.5000 0.8056 1
Mn3 Mn 0.3251 0.0000 0.2025 1
Mn4 Mn 0.3325 0.0000 0.6195 1
Mn5 Mn 0.4983 0.5000 0.5097 1
```

No. 2
# DyEr3Rh3
Computed powder diffraction line list, λ = 1.5418 Å (Cu Kα). Input: a DFT-relaxed cell (GGA-PBE, Alexandria).
Lines closer than 0.1° are merged.

Top 10 peaks for 10° ≤ 2θ ≤ 90°, sorted by position:
2θ (°), d_spacing, I (rel.)
12.87, 6.879, 11
25.91, 3.439, 16
36.73, 2.447, 26
37.20, 2.417, 26
37.62, 2.391, 100
53.27, 1.720, 18
66.73, 1.402, 18
67.35, 1.390, 18
68.18, 1.375, 9
80.32, 1.195, 11

Structure:
```
data_DyEr3Rh3
_chemical_formula_sum 'Dy4 Er12 Rh12'
_cell_length_a 9.6684
_cell_length_b 9.7881
_cell_length_c 6.6518
_cell_angle_alpha 90.00
_cell_angle_beta 90.00
_cell_angle_gamma 90.00
_symmetry_space_group_name_H-M 'C m m m'
_symmetry_Int_Tables_number 65
_symmetry_space_group_name_Hall '-C 2 2'
loop_
_atom_site_label
_atom_site_type_symbol
_atom_site_fract_x
_atom_site_fract_y
_atom_site_fract_z
_atom_site_occupancy
Dy1 Dy 0.2473 0.0000 0.0000 1
Er1 Er 0.0000 0.2543 0.5000 1
Er2 Er 0.0000 0.2609 0.0000 1
Er3 Er 0.2450 0.5000 0.5000 1
Rh1 Rh 0.0000 0.5000 0.2511 1
Rh2 Rh 0.2500 0.2500 0.2511 1
```

No. 3
# Pm2H3N
Computed powder diffraction line list, λ = 1.5418 Å (Cu Kα). Input: a DFT-relaxed cell (GGA-PBE, Alexandria).
Lines closer than 0.1° are merged.

Top 10 peaks for 10° ≤ 2θ ≤ 90°, sorted by position:
2θ (°), d_spacing, I (rel.)
22.81, 3.898, 1
28.03, 3.183, 100
32.48, 2.757, 45
46.59, 1.949, 41
55.26, 1.662, 45
57.95, 1.592, 12
68.02, 1.378, 7
75.11, 1.265, 18
77.42, 1.233, 16
86.48, 1.125, 14

Structure:
```
data_Pm2H3N
_chemical_formula_sum 'Pm4 H6 N2'
_cell_length_a 5.5132
_cell_length_b 5.5132
_cell_length_c 5.5132
_cell_angle_alpha 90.00
_cell_angle_beta 90.00
_cell_angle_gamma 90.00
_symmetry_space_group_name_H-M 'P n -3 m'
_symmetry_Int_Tables_number 224
loop_
_symmetry_equiv_pos_as_xyz
'x,y,z'
'-x,-y,-z'
'-y,x+1/2,z+1/2'
'y,-x+1/2,-z+1/2'
'-x+1/2,-y+1/2,z'
'x+1/2,y+1/2,-z'
'y+1/2,-x,z+1/2'
'-y+1/2,x,-z+1/2'
'x,-y+1/2,-z+1/2'
'-x,y+1/2,z+1/2'
'-y,-x,-z'
'y,x,z'
'-x+1/2,y,-z+1/2'
'x+1/2,-y,z+1/2'
'y+1/2,x+1/2,-z'
'-y+1/2,-x+1/2,z'
'z,x,y'
'-z,-x,-y'
'z+1/2,-y,x+1/2'
'-z+1/2,y,-x+1/2'
'z,-x+1/2,-y+1/2'
'-z,x+1/2,y+1/2'
'z+1/2,y+1/2,-x'
'-z+1/2,-y+1/2,x'
'-z+1/2,x,-y+1/2'
'z+1/2,-x,y+1/2'
'-z,-y,-x'
'z,y,x'
'-z+1/2,-x+1/2,y'
'z+1/2,x+1/2,-y'
'-z,y+1/2,x+1/2'
'z,-y+1/2,-x+1/2'
'y,z,x'
'-y,-z,-x'
'x+1/2,z+1/2,-y'
'-x+1/2,-z+1/2,y'
'-y+1/2,z,-x+1/2'
'y+1/2,-z,x+1/2'
'-x,z+1/2,y+1/2'
'x,-z+1/2,-y+1/2'
'-y+1/2,-z+1/2,x'
'y+1/2,z+1/2,-x'
'-x,-z,-y'
'x,z,y'
'y,-z+1/2,-x+1/2'
'-y,z+1/2,x+1/2'
'x+1/2,-z,y+1/2'
'-x+1/2,z,-y+1/2'
loop_
_atom_site_label
_atom_site_type_symbol
_atom_site_fract_x
_atom_site_fract_y
_atom_site_fract_z
_atom_site_occupancy
Pm1 Pm 0.0000 0.0000 0.0000 1
H1 H 0.2500 0.2500 0.7500 1
N1 N 0.2500 0.2500 0.2500 1
```

No. 4
# Th2CoPb
Computed powder diffraction line list, λ = 1.5418 Å (Cu Kα). Input: a DFT-relaxed cell (GGA-PBE, Alexandria).
Lines closer than 0.1° are merged.

Top 10 peaks for 10° ≤ 2θ ≤ 90°, sorted by position:
2θ (°), d_spacing, I (rel.)
27.67, 3.224, 100
29.04, 3.075, 23
32.03, 2.795, 54
33.59, 2.668, 81
37.86, 2.376, 26
38.44, 2.342, 29
42.12, 2.145, 30
46.31, 1.961, 19
53.87, 1.702, 29
61.58, 1.506, 19

Structure:
```
data_Th2CoPb
_chemical_formula_sum 'Th4 Co2 Pb2'
_cell_length_a 4.2907
_cell_length_b 10.2213
_cell_length_c 4.8860
_cell_angle_alpha 90.00
_cell_angle_beta 90.00
_cell_angle_gamma 90.00
_symmetry_space_group_name_H-M 'P m n 21'
_symmetry_Int_Tables_number 31
loop_
_symmetry_equiv_pos_as_xyz
'x,y,z'
'-x+1/2,-y,z+1/2'
'-x,y,z'
'x+1/2,-y,z+1/2'
loop_
_atom_site_label
_atom_site_type_symbol
_atom_site_fract_x
_atom_site_fract_y
_atom_site_fract_z
_atom_site_occupancy
Th1 Th 0.0000 0.0643 0.0000 1
Th2 Th 0.0000 0.3902 0.8284 1
Co1 Co 0.0000 0.1288 0.5150 1
Pb1 Pb 0.0000 0.7161 0.8415 1
```

No. 5
# TbCoNi
Computed powder diffraction line list, λ = 1.5418 Å (Cu Kα). Input: a DFT-relaxed cell (GGA-PBE, Alexandria).
Lines closer than 0.1° are merged.

Top 10 peaks for 10° ≤ 2θ ≤ 90°, sorted by position:
2θ (°), d_spacing, I (rel.)
35.19, 2.550, 100
36.32, 2.474, 19
40.95, 2.204, 34
41.21, 2.191, 31
41.70, 2.166, 65
42.44, 2.130, 57
44.17, 2.050, 15
63.14, 1.473, 22
69.02, 1.361, 14
74.39, 1.275, 35

Structure:
```
data_TbCoNi
_chemical_formula_sum 'Tb4 Co4 Ni4'
_cell_length_a 4.9471
_cell_length_b 5.1013
_cell_length_c 7.3302
_cell_angle_alpha 90.00
_cell_angle_beta 90.00
_cell_angle_gamma 90.00
_symmetry_space_group_name_H-M 'I m m a'
_symmetry_Int_Tables_number 74
_symmetry_space_group_name_Hall '-I 2b 2'
loop_
_atom_site_label
_atom_site_type_symbol
_atom_site_fract_x
_atom_site_fract_y
_atom_site_fract_z
_atom_site_occupancy
Tb1 Tb 0.0000 0.2500 0.1223 1
Co1 Co 0.2500 0.2500 0.7500 1
Ni1 Ni 0.0000 0.0000 0.5000 1
```

No. 6
# Pm5DyTl6
Computed powder diffraction line list, λ = 1.5418 Å (Cu Kα). Input: a DFT-relaxed cell (GGA-PBE, Alexandria).
Lines closer than 0.1° are merged.

Top 10 peaks for 10° ≤ 2θ ≤ 90°, sorted by position:
2θ (°), d_spacing, I (rel.)
32.61, 2.746, 51
32.83, 2.728, 100
46.64, 1.947, 9
46.93, 1.936, 9
47.45, 1.916, 9
58.24, 1.584, 20
58.42, 1.580, 20
58.76, 1.571, 19
78.88, 1.213, 8
87.38, 1.116, 7

Structure:
```
data_Pm5DyTl6
_chemical_formula_sum 'Pm5 Dy1 Tl6'
_cell_length_a 5.4897
_cell_length_b 7.6648
_cell_length_c 8.6719
_cell_angle_alpha 90.00
_cell_angle_beta 108.12
_cell_angle_gamma 90.00
_symmetry_space_group_name_H-M 'P 1 2/m 1'
_symmetry_Int_Tables_number 10
loop_
_symmetry_equiv_pos_as_xyz
'x,y,z'
'-x,-y,-z'
'-x,y,-z'
'x,-y,z'
loop_
_atom_site_label
_atom_site_type_symbol
_atom_site_fract_x
_atom_site_fract_y
_atom_site_fract_z
_atom_site_occupancy
Pm1 Pm 0.0000 0.0000 0.0000 1
Pm2 Pm 0.3313 0.0000 0.6625 1
Pm3 Pm 0.3335 0.5000 0.6672 1
Dy1 Dy 0.0000 0.5000 0.0000 1
Tl1 Tl 0.1646 0.2533 0.3289 1
Tl2 Tl 0.5000 0.2525 0.0000 1
```